# 1
K2Rb2RuO6: computed PXRD pattern (a wavelength of 1.5418 Å), based on a structure optimized by DFT (PBE).

Principal peaks in the range 15 to 90 degrees two-theta, sorted by position:
16.47 deg, I 1000; 22.07 deg, I 588; 28.53 deg, I 384; 30.37 deg, I 589; 33.42 deg, I 509; 34.58 deg, I 895

Atomic structure:
a b c (Å): 6.2297 6.2297 6.5779
angles (deg): 99.86 99.86 115.91
Atoms (fractional coordinates):
K (0.1558, 0.8442, 0.0000)
K (0.8442, 0.1558, 0.0000)
Rb (0.3245, 0.6755, 0.5000)
Rb (0.6755, 0.3245, 0.5000)
Ru (0.5000, 0.5000, 0.0000)
O (0.1967, 0.4507, 0.8260)
O (0.3265, 0.3265, 0.1814)
O (0.4507, 0.1967, 0.8260)
O (0.5493, 0.8033, 0.1740)
O (0.6735, 0.6735, 0.8186)
O (0.8033, 0.5493, 0.1740)


# 2
K3Rb2TcO6: computed PXRD pattern (a wavelength of 1.5418 Å), based on a structure optimized by DFT (PBE).

Principal peaks in the range 15 to 90 degrees two-theta, sorted by position:
15.16 deg, I 599; 28.69 deg, I 826; 28.97 deg, I 402; 33.65 deg, I 513; 34.02 deg, I 1000; 47.48 deg, I 442

Atomic structure:
a b c (Å): 6.6370 6.6370 6.2807
angles (deg): 100.56 100.56 120.11
Atoms (fractional coordinates):
K (0.0000, 0.0000, 0.0000)
K (0.3452, 0.6548, 0.0000)
K (0.6548, 0.3452, 0.0000)
Rb (0.1684, 0.8316, 0.5000)
Rb (0.8316, 0.1684, 0.5000)
Tc (0.5000, 0.5000, 0.5000)
O (0.1984, 0.4357, 0.3036)
O (0.3229, 0.3229, 0.6835)
O (0.4357, 0.1984, 0.3036)
O (0.5643, 0.8016, 0.6964)
O (0.6771, 0.6771, 0.3165)
O (0.8016, 0.5643, 0.6964)


# 3
K2RbTcO4: computed PXRD pattern (a wavelength of 1.5418 Å), based on a structure optimized by DFT (PBE).

Principal peaks in the range 15 to 90 degrees two-theta, sorted by position:
19.63 deg, I 230; 27.90 deg, I 366; 29.84 deg, I 1000; 39.87 deg, I 261; 50.59 deg, I 367; 54.13 deg, I 181

Atomic structure:
a b c (Å): 6.0360 6.0326 6.3950
angles (deg): 58.03 57.98 64.00
Atoms (fractional coordinates):
K (0.0000, 0.0000, 0.5000)
K (0.5000, 0.5000, 0.0000)
Rb (0.2496, 0.2496, 0.7504)
Tc (0.7503, 0.7503, 0.2497)
O (0.0203, 0.6390, 0.9797)
O (0.4807, 0.8617, 0.1383)
O (0.6390, 0.0203, 0.3610)
O (0.8617, 0.4807, 0.5193)


# 4
KRb2Tc2O7: computed PXRD pattern (a wavelength of 1.5418 Å), based on a structure optimized by DFT (PBE).

Principal peaks in the range 15 to 90 degrees two-theta, sorted by position:
22.93 deg, I 161; 30.20 deg, I 1000; 32.15 deg, I 536; 46.10 deg, I 326; 52.38 deg, I 143; 56.11 deg, I 342

Atomic structure:
a b c (Å): 11.5545 11.5545 11.5545
angles (deg): 160.38 160.38 27.89
Atoms (fractional coordinates):
K (0.0000, 0.0000, 0.0000)
Rb (0.1893, 0.1893, 0.0000)
Rb (0.8107, 0.8107, 0.0000)
Tc (0.4113, 0.4113, 0.0000)
Tc (0.5887, 0.5887, 0.0000)
O (0.0875, 0.5875, 0.5000)
O (0.3278, 0.3278, 0.0000)
O (0.4125, 0.9125, 0.5000)
O (0.5000, 0.5000, 0.0000)
O (0.5875, 0.0875, 0.5000)
O (0.6722, 0.6722, 0.0000)
O (0.9125, 0.4125, 0.5000)


# 5
K2RbTeO4: computed PXRD pattern (a wavelength of 1.5418 Å), based on a structure optimized by DFT (PBE).

Principal peaks in the range 15 to 90 degrees two-theta, sorted by position:
25.57 deg, I 330; 26.39 deg, I 396; 27.42 deg, I 529; 29.66 deg, I 659; 32.56 deg, I 1000; 33.30 deg, I 415

Atomic structure:
a b c (Å): 7.6262 7.6262 8.4139
angles (deg): 121.61 121.61 56.93
Atoms (fractional coordinates):
K (0.0000, 0.0000, 0.0000)
K (0.0018, 0.0018, 0.5041)
K (0.4776, 0.9517, 0.9350)
K (0.9517, 0.4776, 0.9350)
Rb (0.4780, 0.9526, 0.4341)
Rb (0.9526, 0.4780, 0.4341)
Te (0.4472, 0.4472, 0.3755)
Te (0.4565, 0.4565, 0.8864)
O (0.2384, 0.6714, 0.2536)
O (0.2457, 0.6775, 0.7611)
O (0.2607, 0.2607, 0.2189)
O (0.2706, 0.2706, 0.7443)
O (0.6253, 0.6253, 0.6039)
O (0.6365, 0.6365, 0.1030)
O (0.6714, 0.2384, 0.2536)
O (0.6775, 0.2457, 0.7611)


# 6
KRbZnO2: computed PXRD pattern (a wavelength of 1.5418 Å), based on a structure optimized by DFT (PBE).

Principal peaks in the range 15 to 90 degrees two-theta, sorted by position:
15.66 deg, I 862; 25.73 deg, I 1000; 26.13 deg, I 931; 34.32 deg, I 899; 34.49 deg, I 579; 37.68 deg, I 916

Atomic structure:
a b c (Å): 5.7098 6.8217 5.6576
angles (deg): 90.00 90.00 90.00
Atoms (fractional coordinates):
K (0.2500, 0.0000, 0.0001)
K (0.7500, 0.0000, 0.9999)
Rb (0.2500, 0.5000, 0.3160)
Rb (0.7500, 0.5000, 0.6840)
Zn (0.0000, 0.0000, 0.5000)
Zn (0.5000, 0.0000, 0.5000)
O (0.2500, 0.1978, 0.6223)
O (0.2500, 0.8022, 0.6223)
O (0.7500, 0.1978, 0.3777)
O (0.7500, 0.8022, 0.3777)


# 7
KRe2O8: computed PXRD pattern (a wavelength of 1.5418 Å), based on a structure optimized by DFT (PBE).

Principal peaks in the range 15 to 90 degrees two-theta, sorted by position:
15.89 deg, I 1000; 23.24 deg, I 730; 28.16 deg, I 536; 28.28 deg, I 677; 29.48 deg, I 522; 49.64 deg, I 412

Atomic structure:
a b c (Å): 6.3469 6.3469 3.8266
angles (deg): 90.00 90.00 122.96
Atoms (fractional coordinates):
K (0.0000, 0.0000, 0.0000)
Re (0.2967, 0.7033, 0.5000)
Re (0.7033, 0.2967, 0.5000)
O (0.0403, 0.3446, 0.5000)
O (0.2878, 0.7122, 0.0000)
O (0.3446, 0.0403, 0.5000)
O (0.5000, 0.5000, 0.3155)
O (0.5000, 0.5000, 0.6845)
O (0.6554, 0.9597, 0.5000)
O (0.7122, 0.2878, 0.0000)
O (0.9597, 0.6554, 0.5000)


# 8
K2ReO5: computed PXRD pattern (a wavelength of 1.5418 Å), based on a structure optimized by DFT (PBE).

Principal peaks in the range 15 to 90 degrees two-theta, sorted by position:
15.53 deg, I 1000; 16.10 deg, I 692; 18.87 deg, I 720; 19.10 deg, I 647; 25.95 deg, I 438; 27.63 deg, I 290

Atomic structure:
a b c (Å): 5.3382 6.3787 6.5883
angles (deg): 63.99 66.57 66.15
Atoms (fractional coordinates):
K (0.0000, 0.0000, 0.0000)
K (0.4406, 0.5990, 0.5077)
Re (0.1702, 0.3311, 0.2289)
O (0.0252, 0.5594, 0.3899)
O (0.2391, 0.1778, 0.5310)
O (0.3047, 0.5460, 0.9611)
O (0.4113, 0.0543, 0.1725)
O (0.8463, 0.3243, 0.2232)


# 9
KReO4: computed PXRD pattern (a wavelength of 1.5418 Å), based on a structure optimized by DFT (PBE).

Principal peaks in the range 15 to 90 degrees two-theta, sorted by position:
16.70 deg, I 532; 25.65 deg, I 1000; 30.72 deg, I 182; 35.17 deg, I 141; 41.71 deg, I 223; 51.63 deg, I 228

Atomic structure:
a b c (Å): 7.6784 7.6784 7.6784
angles (deg): 135.46 135.46 64.82
Atoms (fractional coordinates):
K (0.3750, 0.1250, 0.2500)
K (0.6250, 0.8750, 0.7500)
Re (0.1250, 0.3750, 0.7500)
Re (0.8750, 0.6250, 0.2500)
O (0.0853, 0.6710, 0.8519)
O (0.1710, 0.8191, 0.5856)
O (0.2665, 0.4147, 0.0856)
O (0.3191, 0.2335, 0.6481)
O (0.6809, 0.7665, 0.3519)
O (0.7335, 0.5853, 0.9144)
O (0.8290, 0.1809, 0.4144)
O (0.9147, 0.3290, 0.1481)


# 10
KScRe2O8: computed PXRD pattern (a wavelength of 1.5418 Å), based on a structure optimized by DFT (PBE).

Principal peaks in the range 15 to 90 degrees two-theta, sorted by position:
21.22 deg, I 1000; 29.91 deg, I 210; 30.45 deg, I 347; 40.73 deg, I 153; 48.97 deg, I 215; 59.12 deg, I 121

Atomic structure:
a b c (Å): 5.8719 5.8719 7.3830
angles (deg): 90.00 90.00 120.00
Atoms (fractional coordinates):
K (0.0000, 0.0000, 0.0000)
Sc (0.0000, 0.0000, 0.5000)
Re (0.3333, 0.6667, 0.7526)
Re (0.6667, 0.3333, 0.2474)
O (0.1668, 0.3335, 0.6693)
O (0.1668, 0.8332, 0.6693)
O (0.3333, 0.6667, 0.9915)
O (0.3335, 0.1668, 0.3307)
O (0.6665, 0.8332, 0.6693)
O (0.6667, 0.3333, 0.0085)
O (0.8332, 0.1668, 0.3307)
O (0.8332, 0.6665, 0.3307)


# 11
K3SrRe2O8: computed PXRD pattern (a wavelength of 1.5418 Å), based on a structure optimized by DFT (PBE).

Principal peaks in the range 15 to 90 degrees two-theta, sorted by position:
19.83 deg, I 1000; 27.93 deg, I 606; 28.45 deg, I 837; 40.29 deg, I 341; 45.65 deg, I 220; 50.06 deg, I 231

Atomic structure:
a b c (Å): 6.2738 6.2738 7.8993
angles (deg): 90.00 90.00 120.00
Atoms (fractional coordinates):
K (0.0000, 0.0000, 0.0000)
K (0.3333, 0.6667, 0.6612)
K (0.6667, 0.3333, 0.3388)
Sr (0.0000, 0.0000, 0.5000)
Re (0.3333, 0.6667, 0.2100)
Re (0.6667, 0.3333, 0.7900)
O (0.1784, 0.3567, 0.3062)
O (0.1784, 0.8216, 0.3062)
O (0.3333, 0.6667, 0.9833)
O (0.3567, 0.1784, 0.6938)
O (0.6433, 0.8216, 0.3062)
O (0.6667, 0.3333, 0.0167)
O (0.8216, 0.1784, 0.6938)
O (0.8216, 0.6433, 0.6938)


# 12
K4SrRe3O12: computed PXRD pattern (a wavelength of 1.5418 Å), based on a structure optimized by DFT (PBE).

Principal peaks in the range 15 to 90 degrees two-theta, sorted by position:
21.52 deg, I 645; 30.62 deg, I 1000; 43.85 deg, I 324; 49.35 deg, I 286; 54.42 deg, I 389; 88.61 deg, I 214

Atomic structure:
a b c (Å): 7.1526 7.1526 7.1526
angles (deg): 109.47 109.47 109.47
Atoms (fractional coordinates):
K (0.0000, 0.0000, 0.5000)
K (0.0000, 0.5000, 0.0000)
K (0.5000, 0.0000, 0.0000)
K (0.5000, 0.5000, 0.5000)
Sr (0.0000, 0.0000, 0.0000)
Re (0.0000, 0.5000, 0.5000)
Re (0.5000, 0.0000, 0.5000)
Re (0.5000, 0.5000, 0.0000)
O (0.0000, 0.2803, 0.2803)
O (0.0000, 0.7197, 0.7197)
O (0.2500, 0.5000, 0.7500)
O (0.2500, 0.7500, 0.5000)
O (0.2803, 0.0000, 0.2803)
O (0.2803, 0.2803, 0.0000)
O (0.5000, 0.2500, 0.7500)
O (0.5000, 0.7500, 0.2500)
O (0.7197, 0.0000, 0.7197)
O (0.7197, 0.7197, 0.0000)
O (0.7500, 0.2500, 0.5000)
O (0.7500, 0.5000, 0.2500)